For V3Pb5ClO12, a DFT-relaxed cell (GGA+U, Alexandria) gives the theoretical powder diffraction line list in this record (Cu Kα (weighted mean of Kα1 and Kα2)).

Crystal structure
```
data_V3Pb5ClO12
_chemical_formula_sum 'V6 Pb10 Cl2 O24'
_cell_length_a 10.694
_cell_length_b 10.694
_cell_length_c 7.291
_cell_angle_alpha 90.00
_cell_angle_beta 90.00
_cell_angle_gamma 120.00
_space_group_name_H-M_alt 'P 1'
_space_group_IT_number 1
loop_
_space_group_symop_operation_xyz
'x,y,z'
loop_
_atom_site_label
_atom_site_fract_x
_atom_site_fract_y
_atom_site_fract_z
V1 0.027 0.416 0.250
V2 0.389 0.973 0.250
V3 0.416 0.389 0.750
V4 0.584 0.611 0.250
V5 0.611 0.027 0.750
V6 0.973 0.584 0.750
Pb1 0.036 0.771 0.250
Pb2 0.229 0.266 0.250
Pb3 0.266 0.036 0.750
Pb4 0.333 0.667 0.509
Pb5 0.333 0.667 0.991
Pb6 0.667 0.333 0.009
Pb7 0.667 0.333 0.491
Pb8 0.734 0.964 0.250
Pb9 0.771 0.734 0.750
Pb10 0.964 0.229 0.750
Cl1 0.000 0.000 0.000
Cl2 0.000 0.000 0.500
O1 0.085 0.358 0.061
O2 0.085 0.358 0.439
O3 0.127 0.607 0.250
O4 0.158 0.648 0.750
O5 0.274 0.915 0.061
O6 0.274 0.915 0.439
O7 0.352 0.510 0.750
O8 0.358 0.274 0.561
O9 0.358 0.274 0.939
O10 0.393 0.520 0.250
O11 0.480 0.873 0.250
O12 0.490 0.842 0.750
O13 0.510 0.158 0.250
O14 0.520 0.127 0.750
O15 0.607 0.480 0.750
O16 0.642 0.726 0.061
O17 0.642 0.726 0.439
O18 0.648 0.490 0.250
O19 0.726 0.085 0.561
O20 0.726 0.085 0.939
O21 0.842 0.352 0.250
O22 0.873 0.393 0.750
O23 0.915 0.642 0.561
O24 0.915 0.642 0.939
```

Top 6 peaks for 10° ≤ 2θ ≤ 90°, low angle first:
(1 2 0), 25.45°, d 3.501, intensity 39; (1 2 1), 28.28°, d 3.156, intensity 100; (3 0 0), 28.92°, d 3.087, intensity 52; (1 1 2), 29.66°, d 3.012, intensity 97; (2 2 2), 41.91°, d 2.156, intensity 32; (4 1 0), 44.85°, d 2.021, intensity 32